# Rb2NaTl12
Computed X-ray diffraction stick pattern, CuKα. Input: a crystal structure in Alexandria, relaxed with GGA-PBE.
Neutral-atom scattering factors, no anomalous dispersion.

Cell and atoms:
abc: 7.395 7.395 19.296
angles: 90.00 90.00 90.00
Positions (direct):
Rb (0.250, 0.750, 0.249)
Rb (0.250, 0.750, 0.751)
Rb (0.750, 0.250, 0.249)
Rb (0.750, 0.250, 0.751)
Na (0.250, 0.750, 0.500)
Na (0.750, 0.250, 0.500)
Tl (0.001, 0.501, 0.413)
Tl (0.001, 0.999, 0.587)
Tl (0.086, 0.586, 0.066)
Tl (0.086, 0.914, 0.934)
Tl (0.250, 0.250, 0.155)
Tl (0.250, 0.250, 0.319)
Tl (0.250, 0.250, 0.681)
Tl (0.250, 0.250, 0.845)
Tl (0.414, 0.586, 0.934)
Tl (0.414, 0.914, 0.066)
Tl (0.499, 0.501, 0.587)
Tl (0.499, 0.999, 0.413)
Tl (0.501, 0.001, 0.587)
Tl (0.501, 0.499, 0.413)
Tl (0.586, 0.086, 0.934)
Tl (0.586, 0.414, 0.066)
Tl (0.750, 0.750, 0.155)
Tl (0.750, 0.750, 0.319)
Tl (0.750, 0.750, 0.681)
Tl (0.750, 0.750, 0.845)
Tl (0.914, 0.086, 0.066)
Tl (0.914, 0.414, 0.934)
Tl (0.999, 0.001, 0.413)
Tl (0.999, 0.499, 0.587)

Principal peaks in the range 2θ = 10–90°, low angle first:
| 2theta | I/Imax | hkl |
| --- | --- | --- |
| 19.31 | 22 | 1 1 2 |
| 25.12 | 23 | 1 1 4 |
| 25.80 | 100 | 2 0 2 |
| 30.40 | 37 | 2 1 3 |
| 32.69 | 41 | 1 1 6 |
| 32.83 | 28 | 2 1 4 |
| 33.57 | 26 | 2 0 5 |
| 34.30 | 68 | 2 2 0 |
| 37.05 | 77 | 2 0 6 |
| 38.50 | 26 | 3 1 0 |